1.
# InCoPO
Calculated powder X-ray diffraction pattern, Cu Ka. Input: a DFT-relaxed cell (GGA+U, OQMD).
No peak broadening, texture or thermal motion is included.

Structural model:
abc: 3.8773 6.1141 6.0361
angles: 90.00 90.00 90.00
Positions (direct):
In1 0.0000 0.1638 0.0000
In2 0.0000 0.8362 0.5000
Co1 0.5000 0.2937 0.4331
Co2 0.5000 0.7063 0.9331
P1 0.5000 0.3398 0.8190
P2 0.5000 0.6602 0.3190
O1 0.0000 0.1678 0.3589
O2 0.0000 0.8322 0.8589

Peak list (12 most intense, 5 to 70 degrees two-theta, in order of falling intensity)
d [Å]	Rel. int.
2.878	100
3.274	41
3.018	40
2.727	31
1.714	31
1.804	29
3.057	27
1.939	21
2.382	18
4.295	17
1.548	16
2.231	16



2.
# In2CoSiO4
Calculated powder X-ray diffraction pattern, Cu Ka. Input: a DFT-relaxed cell (GGA+U, OQMD).
No peak broadening, texture or thermal motion is included.

Structural model:
abc: 5.9856 5.9856 7.9638
angles: 90.00 90.00 122.46
Positions (direct):
In1 0.0495 0.9505 0.5000
In2 0.3803 0.6197 0.3291
In3 0.6197 0.3803 0.8291
In4 0.9505 0.0495 0.0000
Co1 0.2572 0.7428 0.0377
Co2 0.7428 0.2572 0.5377
Si1 0.3197 0.6803 0.7009
Si2 0.6803 0.3197 0.2009
O1 0.1324 0.4235 0.5750
O2 0.1734 0.8266 0.7707
O3 0.4073 0.5927 0.8740
O4 0.4235 0.1324 0.0750
O5 0.5765 0.8676 0.5750
O6 0.5927 0.4073 0.3740
O7 0.8266 0.1734 0.2707
O8 0.8676 0.5765 0.0750

Peak list (12 most intense, 5 to 70 degrees two-theta, in order of falling intensity)
d [Å]	Rel. int.
3.127	100
2.799	96
2.881	73
2.990	44
1.744	33
2.369	32
1.707	32
1.830	30
1.852	22
2.191	21
2.407	20
2.350	19